The following is a simulated XRD peak list of Li2SnB2O6. It was derived from a crystal structure in Alexandria, relaxed with PBE, using λ = 1.5418 Å (Cu Kα).
No peak broadening, texture or thermal motion is included.

Cell and atoms:
a b c (Å): 8.143 6.564 10.004
angles (deg): 90.00 116.12 90.00
Fractional positions:
Li: 0.000 0.003 0.000
Li: 0.000 0.997 0.500
Li: 0.154 0.494 0.975
Li: 0.154 0.506 0.475
Li: 0.323 0.168 0.141
Li: 0.323 0.832 0.641
Li: 0.776 0.464 0.458
Li: 0.776 0.536 0.958
Sn: 0.394 0.300 0.800
Sn: 0.394 0.700 0.300
Sn: 0.765 0.195 0.157
Sn: 0.765 0.805 0.657
B: 0.054 0.385 0.192
B: 0.054 0.615 0.692
B: 0.120 0.094 0.800
B: 0.120 0.906 0.300
B: 0.519 0.433 0.620
B: 0.519 0.567 0.120
B: 0.664 0.076 0.386
B: 0.664 0.924 0.886
O: 0.197 0.059 0.701
O: 0.197 0.941 0.201
O: 0.225 0.442 0.210
O: 0.225 0.558 0.710
O: 0.227 0.228 0.916
O: 0.227 0.772 0.416
O: 0.363 0.319 0.565
O: 0.363 0.681 0.065
O: 0.582 0.097 0.231
O: 0.582 0.445 0.036
O: 0.582 0.555 0.536
O: 0.582 0.903 0.731
O: 0.586 0.076 0.941
O: 0.586 0.924 0.441
O: 0.607 0.444 0.774
O: 0.607 0.556 0.274
O: 0.810 0.180 0.478
O: 0.810 0.820 0.978
O: 0.940 0.285 0.059
O: 0.940 0.715 0.559
O: 0.960 0.017 0.792
O: 0.960 0.983 0.292
O: 0.974 0.410 0.287
O: 0.974 0.590 0.787

Top 12 peaks for 10° ≤ 2θ ≤ 90°, in order of rising 2θ:
| h k l | 2theta | Rel. int. |
| --- | --- | --- |
| 1 0 0 | 12.11 | 16.9 |
| 0 1 1 | 16.73 | 27.1 |
| 1 1 -1 | 17.94 | 100.0 |
| 1 0 -2 | 18.11 | 26.9 |
| 0 0 2 | 19.77 | 19.9 |
| 1 1 1 | 23.15 | 36.4 |
| 0 1 3 | 32.87 | 24.5 |
| 2 1 1 | 33.20 | 21.5 |
| 1 0 -4 | 36.33 | 14.6 |
| 2 2 0 | 36.82 | 16.3 |
| 3 1 -3 | 38.46 | 19.4 |
| 1 2 2 | 39.05 | 15.8 |